Entry 1:
# Na2SrPbCl6
Computed PXRD pattern, λ = 1.5418 Å (Cu Kα). Input: a PBE-relaxed structure.
Neutral-atom scattering factors, no anomalous dispersion.

Cell and atoms:
```
Na2SrPbCl6
1.0
3.6365 2.0995 6.4795
-3.6365 2.0995 6.4795
0.0000 -4.1990 6.4795
Na Sr Pb Cl
2 1 1 6
Direct
0.0000 0.0000 0.0000
0.4992 0.4992 0.4992
0.2014 0.2014 0.2014
0.7007 0.7007 0.7007
0.1138 0.3924 0.7930
0.2945 0.8947 0.6108
0.3924 0.7930 0.1138
0.6108 0.2945 0.8947
0.7930 0.1138 0.3924
0.8947 0.6108 0.2946
```

The 8 most intense peaks (2θ = 15–90°), by angle:
- 16.8 deg, d = 5.286 Å, I 1000
- 23.1 deg, d = 3.848 Å, I 600
- 24.5 deg, d = 3.636 Å, I 339
- 28.1 deg, d = 3.171 Å, I 414
- 33.9 deg, d = 2.643 Å, I 326
- 37.2 deg, d = 2.419 Å, I 676
- 42.3 deg, d = 2.138 Å, I 327
- 43.1 deg, d = 2.100 Å, I 374

Entry 2:
# Ce2BeGeIr6
Computed PXRD pattern, λ = 1.5418 Å (Cu Kα). Input: a PBE-relaxed structure.
Neutral-atom scattering factors, no anomalous dispersion.

Cell and atoms:
```
Ce2BeGeIr6
1.0
5.5868 0.0000 0.0000
2.6605 4.9142 0.0000
2.5924 1.5366 6.4754
Ce Be Ge Ir
2 1 1 6
Direct
0.2211 0.2218 0.3456
0.7789 0.7782 0.6544
0.0000 0.0000 0.0000
0.5000 0.5000 0.5000
0.2349 0.2335 0.7768
0.2366 0.7046 0.8100
0.2931 0.7645 0.1913
0.7069 0.2355 0.8087
0.7634 0.2954 0.1900
0.7651 0.7665 0.2232
```

The 8 most intense peaks (2θ = 15–90°), by angle:
- 27.5 deg, d = 3.238 Å, I 512
- 29.2 deg, d = 3.063 Å, I 146
- 37.6 deg, d = 2.390 Å, I 849
- 37.9 deg, d = 2.373 Å, I 144
- 38.9 deg, d = 2.314 Å, I 403
- 41.5 deg, d = 2.178 Å, I 1000
- 43.3 deg, d = 2.090 Å, I 140
- 67.0 deg, d = 1.396 Å, I 198

Entry 3:
# Ag5Hg4P8Cl5
Computed PXRD pattern, λ = 1.5418 Å (Cu Kα). Input: a PBE-relaxed structure.
Neutral-atom scattering factors, no anomalous dispersion.

Cell and atoms:
```
Ag5Hg4P8Cl5
1.0
7.3083 -5.5704 0.0000
7.3083 5.5704 0.0000
-1.4961 0.0000 6.1743
Ag Hg P Cl
5 4 8 5
Direct
0.0000 0.0000 0.0000
0.2921 0.2921 0.0562
0.3544 0.6456 0.0000
0.6456 0.3544 0.0000
0.7079 0.7079 0.9438
0.0181 0.6751 0.4685
0.3249 0.9819 0.5315
0.6751 0.0181 0.4685
0.9819 0.3249 0.5315
0.2592 0.2592 0.6603
0.2966 0.5982 0.6000
0.3576 0.3576 0.4462
0.4018 0.7034 0.4000
0.5982 0.2966 0.6000
0.6424 0.6424 0.5538
0.7034 0.4018 0.4000
0.7408 0.7408 0.3397
0.0000 0.0000 0.5000
0.0259 0.6967 0.9740
0.3033 0.9741 0.0260
0.6967 0.0259 0.9740
0.9741 0.3033 0.0260
```

The 8 most intense peaks (2θ = 15–90°), by angle:
- 21.5 deg, d = 4.136 Å, I 272
- 25.8 deg, d = 3.450 Å, I 377
- 28.0 deg, d = 3.189 Å, I 254
- 28.9 deg, d = 3.087 Å, I 532
- 30.6 deg, d = 2.922 Å, I 1000
- 39.3 deg, d = 2.295 Å, I 219
- 45.4 deg, d = 1.996 Å, I 211
- 45.8 deg, d = 1.983 Å, I 403

Repeat the third record exactly.
# Ag5Hg4P8Cl5
Computed PXRD pattern, λ = 1.5418 Å (Cu Kα). Input: a PBE-relaxed structure.
Neutral-atom scattering factors, no anomalous dispersion.

Cell and atoms:
```
Ag5Hg4P8Cl5
1.0
7.3083 -5.5704 0.0000
7.3083 5.5704 0.0000
-1.4961 0.0000 6.1743
Ag Hg P Cl
5 4 8 5
Direct
0.0000 0.0000 0.0000
0.2921 0.2921 0.0562
0.3544 0.6456 0.0000
0.6456 0.3544 0.0000
0.7079 0.7079 0.9438
0.0181 0.6751 0.4685
0.3249 0.9819 0.5315
0.6751 0.0181 0.4685
0.9819 0.3249 0.5315
0.2592 0.2592 0.6603
0.2966 0.5982 0.6000
0.3576 0.3576 0.4462
0.4018 0.7034 0.4000
0.5982 0.2966 0.6000
0.6424 0.6424 0.5538
0.7034 0.4018 0.4000
0.7408 0.7408 0.3397
0.0000 0.0000 0.5000
0.0259 0.6967 0.9740
0.3033 0.9741 0.0260
0.6967 0.0259 0.9740
0.9741 0.3033 0.0260
```

The 8 most intense peaks (2θ = 15–90°), by angle:
- 21.5 deg, d = 4.136 Å, I 272
- 25.8 deg, d = 3.450 Å, I 377
- 28.0 deg, d = 3.189 Å, I 254
- 28.9 deg, d = 3.087 Å, I 532
- 30.6 deg, d = 2.922 Å, I 1000
- 39.3 deg, d = 2.295 Å, I 219
- 45.4 deg, d = 1.996 Å, I 211
- 45.8 deg, d = 1.983 Å, I 403